[1]
Structure and simulated powder diffractogram of Pa2TePt3 (a structure optimized by DFT (PBE); Cu Kα).
Neutral-atom scattering factors, no anomalous dispersion.

Peak list (10 most intense, 2θ from 10° to 80°, most intense first)
Position (°2θ)  I/Imax  (hkl)
38.03  100  4 4 0
68.72  33  8 4 4
23.02  20  2 2 2
54.88  17  8 0 0
18.75  16  2 2 0
44.93  11  6 2 2
32.78  9  4 2 2
29.08  6  3 3 1
60.29  5  6 6 2
34.83  4  5 1 1

Structural model:
a = 13.384 Å, b = 13.384 Å, c = 13.384 Å
α = 90.00°, β = 90.00°, γ = 90.00°
Space group Fd-3m (No. 227, origin choice 2)
Unique sites:
Pa 0.001 0.001 0.249 x32
Te 0.000 0.000 0.500 x16
Pt 0.109 0.375 0.375 x48

***

[2]
Structure and simulated powder diffractogram of AcAgPbAu (a structure optimized by DFT (PBE); Cu Kα).
Neutral-atom scattering factors, no anomalous dispersion.

Peak list (10 most intense, 2θ from 10° to 80°, most intense first)
Position (°2θ)  I/Imax  (hkl)
33.75  100  2 2 0
60.37  38  4 2 2
48.47  18  4 0 0
70.98  12  4 4 0
20.48  3  1 1 1
23.69  3  2 0 0
39.80  2  3 1 1
54.64  1  4 2 0
41.65  1  2 2 2
53.15  1  3 3 1

Structural model:
a = 7.512 Å, b = 7.512 Å, c = 7.512 Å
α = 90.00°, β = 90.00°, γ = 90.00°
Space group F-43m (No. 216)
Unique sites:
Ac 0.000 0.000 0.000 x4
Ag 0.250 0.250 0.250 x4
Pb 0.000 0.000 0.500 x4
Au 0.250 0.250 0.750 x4

***

[3]
Structure and simulated powder diffractogram of Nd3TlSe4 (a structure optimized by DFT (PBE); Cu Kα).
Neutral-atom scattering factors, no anomalous dispersion.

Peak list (10 most intense, 2θ from 10° to 80°, most intense first)
Position (°2θ)  I/Imax  (hkl)
29.44  100  2 0 0
42.12  75  2 2 0
69.24  34  4 2 0
52.22  27  2 2 2
76.98  26  4 2 2
25.42  20  1 1 1
61.08  13  4 0 0
49.84  10  3 1 1
67.25  4  3 3 1
14.60  2  1 0 0

Structural model:
a = 6.068 Å, b = 6.068 Å, c = 6.068 Å
α = 90.00°, β = 90.00°, γ = 90.00°
Space group Pm-3m (No. 221)
Unique sites:
Nd 0.000 0.000 0.500 x3
Tl 0.500 0.500 0.500 x1
Se 0.000 0.000 0.000 x1
Se 0.000 0.500 0.500 x3

***

[4]
Structure and simulated powder diffractogram of Ac4Rh3Pb8 (a structure optimized by DFT (PBE); Cu Kα).
Neutral-atom scattering factors, no anomalous dispersion.

Peak list (10 most intense, 2θ from 10° to 80°, most intense first)
Position (°2θ)  I/Imax  (hkl)
32.11  100  1 1 4
36.86  53  2 0 0
27.53  32  1 1 2
63.44  29  3 1 4
47.09  23  2 0 6
53.12  19  2 2 0
28.27  19  0 0 6
61.25  12  2 2 6
38.67  10  1 1 6
29.87  9  1 0 5

Structural model:
a = 4.877 Å, b = 4.877 Å, c = 18.939 Å
α = 90.00°, β = 90.00°, γ = 90.00°
Space group P-4m2 (No. 115)
Unique sites:
Ac 0.000 0.500 0.088 x2
Ac 0.000 0.500 0.614 x2
Rh 0.000 0.000 0.000 x1
Rh 0.000 0.000 0.500 x1
Rh 0.500 0.500 0.500 x1
Pb 0.000 0.000 0.237 x2
Pb 0.000 0.500 0.420 x2
Pb 0.000 0.500 0.896 x2
Pb 0.500 0.500 0.234 x2

***

[5]
Structure and simulated powder diffractogram of PaCr5P3 (a structure optimized by DFT (PBE); Cu Kα).
Neutral-atom scattering factors, no anomalous dispersion.

Peak list (10 most intense, 2θ from 10° to 80°, most intense first)
Position (°2θ)  I/Imax  (hkl)
34.59  100  1 1 3
40.96  83  1 1 4
36.73  79  1 3 2
25.73  75  1 1 1
32.82  67  1 3 0
17.22  54  0 2 1
47.35  52  2 0 0
28.66  49  0 2 3
34.85  46  0 4 2
46.78  35  1 3 4

Structural model:
a = 3.840 Å, b = 11.635 Å, c = 11.063 Å
α = 90.00°, β = 90.00°, γ = 90.00°
Space group Cmcm (No. 63)
Unique sites:
Pa 0.000 0.151 0.250 x4
Cr 0.000 0.000 0.000 x4
Cr 0.000 0.196 0.543 x8
Cr 0.000 0.430 0.152 x8
P 0.000 0.141 0.750 x4
P 0.000 0.390 0.562 x8

***

[6]
Structure and simulated powder diffractogram of Cs2RbLiSe (a structure optimized by DFT (PBE); Cu Kα).
Neutral-atom scattering factors, no anomalous dispersion.

Peak list (10 most intense, 2θ from 10° to 80°, most intense first)
Position (°2θ)  I/Imax  (hkl)
23.34  100  2 0 0
24.28  72  1 1 1
33.24  40  2 2 0
43.28  38  2 0 2
29.47  36  2 0 1
21.25  35  1 0 1
41.59  34  3 1 1
17.74  31  0 0 1
31.77  25  2 1 1
49.74  25  2 2 2

Structural model:
a = 7.623 Å, b = 7.623 Å, c = 5.000 Å
α = 90.00°, β = 90.00°, γ = 90.00°
Space group P4/mmm (No. 123)
Unique sites:
Cs 0.000 0.500 0.000 x2
Rb 0.000 0.000 0.500 x1
Li 0.500 0.500 0.500 x1
Se 0.500 0.500 0.000 x1